Theoretical X-ray powder pattern
Compound: Li8Ta4O11
Radiation: Cu Kα (weighted mean of Kα1 and Kα2)
Structure: a crystal structure in OQMD, relaxed with GGA-PBE
Lines closer than 0.1° are merged.

Principal peaks in the range 10 to 90 degrees two-theta, low angle first:
- 2θ 17.97, rel. 100
- 2θ 20.53, rel. 49
- 2θ 23.40, rel. 34
- 2θ 30.94, rel. 19
- 2θ 35.09, rel. 17
- 2θ 35.46, rel. 34
- 2θ 37.27, rel. 20
- 2θ 42.58, rel. 18
- 2θ 42.69, rel. 18
- 2θ 42.95, rel. 19

Crystal structure
Cell: 5.1255 5.1914 8.9927 Å, 74.41 88.88 80.86°
Positions (direct):
Li  0.0000  0.0000  0.0000
Li  0.0000  0.0052  0.3289
Li  0.2429  0.4872  0.2464
Li  0.4850  0.0008  0.1629
Li  0.4980  0.9989  0.5071
Li  0.5070  0.0020  0.8260
Li  0.7413  0.5016  0.7475
Li  0.9827  0.0060  0.6720
Ta  0.2200  0.5001  0.9229
Ta  0.2632  0.5076  0.5712
Ta  0.7155  0.5092  0.4191
Ta  0.7685  0.5014  0.0729
O  0.1215  0.2740  0.4666
O  0.1254  0.2344  0.1305
O  0.1380  0.2641  0.7986
O  0.3522  0.7341  0.7063
O  0.3746  0.7298  0.0336
O  0.6163  0.2693  0.9673
O  0.6226  0.2475  0.6252
O  0.6341  0.2782  0.2913
O  0.8528  0.7332  0.2045
O  0.8661  0.7664  0.8701
O  0.8766  0.7388  0.5272


Theoretical X-ray powder pattern
Compound: La4CuS7
Radiation: Cu Kα (weighted mean of Kα1 and Kα2)
Structure: a crystal structure in OQMD, relaxed with GGA-PBE
Lines closer than 0.1° are merged.

Principal peaks in the range 10 to 90 degrees two-theta, low angle first:
- 2θ 19.98, rel. 15
- 2θ 24.80, rel. 100
- 2θ 29.33, rel. 29
- 2θ 33.64, rel. 15
- 2θ 34.97, rel. 82
- 2θ 35.75, rel. 33
- 2θ 43.35, rel. 25
- 2θ 46.27, rel. 37
- 2θ 49.34, rel. 26
- 2θ 56.86, rel. 19

Crystal structure
Cell: 10.2599 6.0898 10.2619 Å, 90.00 119.95 90.00°
Positions (direct):
La  0.1413  0.9996  0.3384
La  0.1669  0.9539  0.8344
La  0.3038  0.4991  0.1414
La  0.3376  0.5000  0.6964
La  0.6624  0.0000  0.3036
La  0.6962  0.9991  0.8586
La  0.8331  0.4539  0.1656
La  0.8587  0.4996  0.6616
Cu  0.5000  0.0463  0.5000
Cu  0.5000  0.5463  0.5000
S  0.0124  0.7588  0.9728
S  0.0293  0.7607  0.5425
S  0.1666  0.4021  0.8332
S  0.2434  0.5301  0.3821
S  0.3613  0.0301  0.2435
S  0.3822  0.0303  0.6388
S  0.4596  0.7596  0.9873
S  0.5404  0.2596  0.0127
S  0.6178  0.5303  0.3612
S  0.6387  0.5301  0.7565
S  0.7566  0.0301  0.6179
S  0.8334  0.9021  0.1668
S  0.9707  0.2607  0.4575
S  0.9876  0.2588  0.0272


Theoretical X-ray powder pattern
Compound: TbEr2Al7Cu2
Radiation: Cu Kα (weighted mean of Kα1 and Kα2)
Structure: a crystal structure in OQMD, relaxed with GGA-PBE
Lines closer than 0.1° are merged.

Principal peaks in the range 10 to 90 degrees two-theta, low angle first:
- 2θ 19.07, rel. 44
- 2θ 21.00, rel. 32
- 2θ 31.07, rel. 53
- 2θ 32.77, rel. 89
- 2θ 34.02, rel. 33
- 2θ 38.19, rel. 27
- 2θ 39.24, rel. 100
- 2θ 57.43, rel. 19
- 2θ 62.86, rel. 24
- 2θ 64.79, rel. 27

Crystal structure
Cell: 9.0296 9.0296 9.0296 Å, 35.24 35.24 35.24°
Positions (direct):
Tb  0.0000  0.0000  0.0000
Er  0.1421  0.1421  0.1421
Er  0.8579  0.8579  0.8579
Al  0.0730  0.5821  0.5821
Al  0.4179  0.4179  0.9270
Al  0.4179  0.9270  0.4179
Al  0.5000  0.5000  0.5000
Al  0.5821  0.0730  0.5821
Al  0.5821  0.5821  0.0730
Al  0.9270  0.4179  0.4179
Cu  0.3352  0.3352  0.3352
Cu  0.6648  0.6648  0.6648


Theoretical X-ray powder pattern
Compound: SmCo3NiB
Radiation: Cu Kα (weighted mean of Kα1 and Kα2)
Structure: a crystal structure in OQMD, relaxed with GGA-PBE
Lines closer than 0.1° are merged.

Principal peaks in the range 10 to 90 degrees two-theta, low angle first:
- 2θ 33.15, rel. 80
- 2θ 35.67, rel. 30
- 2θ 41.43, rel. 68
- 2θ 44.59, rel. 100
- 2θ 53.18, rel. 13
- 2θ 62.49, rel. 25
- 2θ 65.69, rel. 15
- 2θ 69.57, rel. 15
- 2θ 70.32, rel. 26
- 2θ 75.56, rel. 20

Crystal structure
Cell: 5.0335 5.0335 6.8897 Å, 90.00 90.00 120.00°
Positions (direct):
Sm  0.0000  0.0000  0.0000
Sm  0.0000  0.0000  0.5000
Co  0.0000  0.5000  0.2114
Co  0.0000  0.5000  0.7886
Co  0.5000  0.0000  0.2114
Co  0.5000  0.0000  0.7886
Co  0.5000  0.5000  0.2114
Co  0.5000  0.5000  0.7886
Ni  0.3333  0.6667  0.5000
Ni  0.6667  0.3333  0.5000
B  0.3333  0.6667  0.0000
B  0.6667  0.3333  0.0000


Theoretical X-ray powder pattern
Compound: NaSmMgTe3
Radiation: Cu Kα (weighted mean of Kα1 and Kα2)
Structure: a crystal structure in OQMD, relaxed with GGA-PBE
Lines closer than 0.1° are merged.

Principal peaks in the range 10 to 90 degrees two-theta, low angle first:
- 2θ 11.94, rel. 53
- 2θ 22.10, rel. 32
- 2θ 25.41, rel. 79
- 2θ 26.92, rel. 65
- 2θ 27.96, rel. 50
- 2θ 30.88, rel. 100
- 2θ 36.74, rel. 32
- 2θ 39.49, rel. 78
- 2θ 40.42, rel. 35
- 2θ 48.36, rel. 27

Crystal structure
Cell: 11.9339 4.4627 14.8240 Å, 90.00 90.00 90.00°
Positions (direct):
Na  0.2304  0.2500  0.0139
Na  0.2696  0.7500  0.5139
Na  0.7304  0.2500  0.4861
Na  0.7696  0.7500  0.9861
Sm  0.0104  0.7500  0.7456
Sm  0.4896  0.2500  0.2456
Sm  0.5104  0.7500  0.7544
Sm  0.9896  0.2500  0.2544
Mg  0.2401  0.7500  0.2250
Mg  0.2599  0.2500  0.7250
Mg  0.7401  0.7500  0.2750
Mg  0.7599  0.2500  0.7750
Te  0.0540  0.7500  0.1136
Te  0.0793  0.2500  0.6081
Te  0.2411  0.2500  0.3398
Te  0.2589  0.7500  0.8398
Te  0.4207  0.7500  0.1081
Te  0.4460  0.2500  0.6136
Te  0.5540  0.7500  0.3864
Te  0.5793  0.2500  0.8919
Te  0.7411  0.2500  0.1602
Te  0.7589  0.7500  0.6602
Te  0.9207  0.7500  0.3919
Te  0.9460  0.2500  0.8864


Theoretical X-ray powder pattern
Compound: ScNb3Sn2C2
Radiation: Cu Kα (weighted mean of Kα1 and Kα2)
Structure: a crystal structure in OQMD, relaxed with GGA-PBE
Lines closer than 0.1° are merged.

Principal peaks in the range 10 to 90 degrees two-theta, low angle first:
- 2θ 12.49, rel. 4
- 2θ 31.56, rel. 23
- 2θ 36.98, rel. 100
- 2θ 38.10, rel. 19
- 2θ 50.28, rel. 15
- 2θ 56.20, rel. 21
- 2θ 68.12, rel. 16
- 2θ 69.20, rel. 16
- 2θ 69.93, rel. 19
- 2θ 78.74, rel. 4

Crystal structure
Cell: 3.2732 3.2732 14.1717 Å, 90.00 90.00 120.00°
Positions (direct):
Sc  0.0000  0.0000  0.0000
Nb  0.0000  0.0000  0.3385
Nb  0.3333  0.6667  0.5015
Nb  0.3333  0.6667  0.8291
Sn  0.0000  0.0000  0.6648
Sn  0.3333  0.6667  0.1745
C  0.6667  0.3333  0.4196
C  0.6667  0.3333  0.9117


Theoretical X-ray powder pattern
Compound: HgP5
Radiation: Cu Kα (weighted mean of Kα1 and Kα2)
Structure: a crystal structure in OQMD, relaxed with GGA-PBE
Lines closer than 0.1° are merged.

Principal peaks in the range 10 to 90 degrees two-theta, low angle first:
- 2θ 19.95, rel. 100
- 2θ 24.30, rel. 51
- 2θ 27.39, rel. 63
- 2θ 29.36, rel. 76
- 2θ 30.97, rel. 53
- 2θ 31.40, rel. 71
- 2θ 31.65, rel. 52
- 2θ 32.45, rel. 78
- 2θ 34.18, rel. 57
- 2θ 49.79, rel. 54

Crystal structure
Cell: 6.5131 6.4436 12.1959 Å, 90.00 90.00 90.00°
Positions (direct):
Hg  0.0000  0.0456  0.0000
Hg  0.0000  0.9544  0.5000
Hg  0.5000  0.2573  0.1583
Hg  0.5000  0.7427  0.6583
P  0.0000  0.3169  0.2034
P  0.0000  0.3336  0.3825
P  0.0000  0.3462  0.6789
P  0.0000  0.6538  0.1789
P  0.0000  0.6664  0.8825
P  0.0000  0.6831  0.7034
P  0.2463  0.2233  0.7875
P  0.2463  0.7767  0.2875
P  0.2515  0.4538  0.9302
P  0.2515  0.5462  0.4302
P  0.5000  0.1097  0.5435
P  0.5000  0.3142  0.3926
P  0.5000  0.3308  0.6788
P  0.5000  0.6692  0.1788
P  0.5000  0.6858  0.8926
P  0.5000  0.8903  0.0435
P  0.7485  0.4538  0.9302
P  0.7485  0.5462  0.4302
P  0.7537  0.2233  0.7875
P  0.7537  0.7767  0.2875


Theoretical X-ray powder pattern
Compound: DyYFe2Pb
Radiation: Cu Kα (weighted mean of Kα1 and Kα2)
Structure: a crystal structure in OQMD, relaxed with GGA-PBE
Lines closer than 0.1° are merged.

Principal peaks in the range 10 to 90 degrees two-theta, low angle first:
- 2θ 29.58, rel. 46
- 2θ 33.41, rel. 100
- 2θ 34.29, rel. 70
- 2θ 39.01, rel. 36
- 2θ 46.61, rel. 20
- 2θ 47.52, rel. 19
- 2θ 56.16, rel. 17
- 2θ 56.98, rel. 15
- 2θ 59.12, rel. 29
- 2θ 63.10, rel. 21

Crystal structure
Cell: 3.8267 7.4246 7.4246 Å, 30.43 90.00 90.00°
Positions (direct):
Dy  0.0000  0.0000  0.0000
Y  0.0000  0.7251  0.7251
Fe  0.5000  0.1553  0.1553
Fe  0.5000  0.5667  0.5667
Pb  0.5000  0.3622  0.3622


Theoretical X-ray powder pattern
Compound: K2Na2Gd4Nb2O13
Radiation: Cu Kα (weighted mean of Kα1 and Kα2)
Structure: a crystal structure in OQMD, relaxed with GGA-PBE
Lines closer than 0.1° are merged.

Principal peaks in the range 10 to 90 degrees two-theta, low angle first:
- 2θ 25.61, rel. 42
- 2θ 25.96, rel. 39
- 2θ 30.53, rel. 100
- 2θ 31.02, rel. 92
- 2θ 31.94, rel. 27
- 2θ 32.22, rel. 35
- 2θ 42.09, rel. 16
- 2θ 46.01, rel. 41
- 2θ 53.37, rel. 19
- 2θ 56.08, rel. 27

Crystal structure
Cell: 12.3042 12.3042 11.1156 Å, 115.63 115.63 26.32°
Positions (direct):
K  0.1934  0.3050  0.1334
K  0.3050  0.1934  0.6334
K  0.6950  0.8066  0.3666
K  0.8066  0.6950  0.8666
Na  0.2995  0.3833  0.4787
Na  0.3833  0.2995  0.9787
Na  0.6167  0.7005  0.0213
Na  0.7005  0.6167  0.5213
Gd  0.0145  0.1107  0.9490
Gd  0.1107  0.0145  0.4490
Gd  0.3997  0.4760  0.3280
Gd  0.4760  0.3997  0.8280
Gd  0.5240  0.6003  0.1720
Gd  0.6003  0.5240  0.6720
Gd  0.8893  0.9855  0.5510
Gd  0.9855  0.8893  0.0510
Nb  0.1140  0.1868  0.2824
Nb  0.1868  0.1140  0.7824
Nb  0.8132  0.8860  0.2176
Nb  0.8860  0.8132  0.7176
O  0.0632  0.6776  0.3644
O  0.0961  0.6359  0.1223
O  0.1351  0.6697  0.6618
O  0.1480  0.5898  0.8626
O  0.1682  0.3046  0.3779
O  0.2505  0.7476  0.5233
O  0.2524  0.7495  0.9767
O  0.2574  0.7426  0.2500
O  0.3046  0.1682  0.8779
O  0.3224  0.9368  0.1356
O  0.3303  0.8649  0.8382
O  0.3641  0.9039  0.3777
O  0.4102  0.8520  0.6374
O  0.5898  0.1480  0.3626
O  0.6359  0.0961  0.6223
O  0.6697  0.1351  0.1618
O  0.6776  0.0632  0.8644
O  0.6954  0.8318  0.1221
O  0.7426  0.2574  0.7500
O  0.7476  0.2505  0.0233
O  0.7495  0.2524  0.4767
O  0.8318  0.6954  0.6221
O  0.8520  0.4102  0.1374
O  0.8649  0.3303  0.3382
O  0.9039  0.3641  0.8777
O  0.9368  0.3224  0.6356


Theoretical X-ray powder pattern
Compound: CoAgHgB
Radiation: Cu Kα (weighted mean of Kα1 and Kα2)
Structure: a crystal structure in OQMD, relaxed with GGA-PBE
Lines closer than 0.1° are merged.

Principal peaks in the range 10 to 90 degrees two-theta, low angle first:
- 2θ 25.04, rel. 66
- 2θ 28.99, rel. 1
- 2θ 41.46, rel. 100
- 2θ 49.05, rel. 34
- 2θ 60.08, rel. 16
- 2θ 66.12, rel. 14
- 2θ 68.06, rel. 1
- 2θ 75.62, rel. 33
- 2θ 81.12, rel. 11

Crystal structure
Cell: 4.3560 4.3560 4.3560 Å, 60.00 60.00 60.00°
Positions (direct):
Co  0.0000  0.0000  0.0000
Ag  0.5000  0.5000  0.5000
Hg  0.2500  0.2500  0.2500
B  0.7500  0.7500  0.7500


Theoretical X-ray powder pattern
Compound: ZrBeIr
Radiation: Cu Kα (weighted mean of Kα1 and Kα2)
Structure: a crystal structure in OQMD, relaxed with GGA-PBE
Lines closer than 0.1° are merged.

Principal peaks in the range 10 to 90 degrees two-theta, low angle first:
- 2θ 27.88, rel. 46
- 2θ 29.84, rel. 100
- 2θ 36.62, rel. 51
- 2θ 36.85, rel. 45
- 2θ 37.33, rel. 25
- 2θ 38.87, rel. 40
- 2θ 43.60, rel. 42
- 2θ 44.61, rel. 36
- 2θ 47.57, rel. 28
- 2θ 72.16, rel. 30

Crystal structure
Cell: 6.3357 3.8229 7.4165 Å, 90.00 90.00 90.00°
Positions (direct):
Zr  0.0219  0.2500  0.1866
Zr  0.4781  0.7500  0.6866
Zr  0.5219  0.2500  0.3134
Zr  0.9781  0.7500  0.8134
Be  0.2044  0.7500  0.3871
Be  0.2956  0.2500  0.8871
Be  0.7044  0.7500  0.1129
Be  0.7956  0.2500  0.6129
Ir  0.1720  0.2500  0.5659
Ir  0.3280  0.7500  0.0659
Ir  0.6720  0.2500  0.9341
Ir  0.8280  0.7500  0.4341